# 1
# K2LiS2O4F2
Simulated PXRD pattern, Cu Kα X-rays. Input: the GGA-PBE geometry in the Materials Project.

The 12 most intense peaks (2θ = 10–90°), by angle:
- d 4.286, 20.7°, rel. 23
- d 3.546, 25.1°, rel. 92
- d 3.528, 25.2°, rel. 61
- d 3.472, 25.7°, rel. 34
- d 3.382, 26.4°, rel. 36
- d 3.119, 28.6°, rel. 30
- d 3.067, 29.1°, rel. 100
- d 3.019, 29.6°, rel. 41
- d 2.861, 31.3°, rel. 35
- d 2.554, 35.1°, rel. 16
- d 2.404, 37.4°, rel. 22
- d 2.074, 43.6°, rel. 23

Atomic structure:
```
11
Lattice="4.4633 0.0000 0.0000 -0.1676 6.1140 0.0000 -2.2303 -1.2512 7.8146" Properties=species:S:1:pos:R:3 pbc="T T T"
K 0.0000 0.0000 0.0000
K 0.4864 1.9636 5.5956
Li -0.7784 4.9122 5.3070
S 1.6689 5.4051 3.2645
S 2.6464 2.9584 1.8043
O -0.5969 2.1531 2.0047
O 0.3630 4.7877 3.6412
O 2.6683 3.8348 0.6128
O 2.4811 0.0377 4.3864
F -1.7276 3.4011 5.6881
F 0.0246 -0.3446 6.7884
```

# 2
# BaSrSmNbO6
Simulated PXRD pattern, Cu Kα X-rays. Input: the GGA-PBE geometry in the Materials Project.

The 12 most intense peaks (2θ = 10–90°), by angle:
- d 4.928, 18.0°, rel. 2
- d 4.268, 20.8°, rel. 2
- d 3.018, 29.6°, rel. 100
- d 2.574, 34.9°, rel. 3
- d 2.281, 39.5°, rel. 1
- d 2.134, 42.4°, rel. 29
- d 1.958, 46.4°, rel. 2
- d 1.742, 52.5°, rel. 43
- d 1.509, 61.4°, rel. 17
- d 1.350, 69.7°, rel. 18
- d 1.232, 77.5°, rel. 5
- d 1.141, 85.0°, rel. 22

Atomic structure:
```
40
Lattice="8.5309 0.0000 0.0000 0.0000 8.5371 0.0000 0.0000 0.0000 8.5394" Properties=species:S:1:pos:R:3 pbc="T T T"
Ba 0.0000 0.0000 0.0000
Ba 0.0000 0.0000 4.2697
Ba 0.0000 4.2685 0.0000
Ba 4.2654 4.2685 4.2697
Sr 0.0000 4.2685 4.2697
Sr 4.2654 0.0000 0.0000
Sr 4.2654 0.0000 4.2697
Sr 4.2654 4.2685 0.0000
Sm 2.1468 2.1381 2.1519
Sm 2.1468 6.3990 6.3876
Sm 6.3841 2.1381 6.3876
Sm 6.3841 6.3990 2.1519
Nb 2.1626 2.1419 6.4054
Nb 2.1626 6.3952 2.1340
Nb 6.3683 2.1419 2.1340
Nb 6.3683 6.3952 6.4054
O 0.1518 1.8921 6.2032
O 0.1518 6.6449 2.3362
O 1.8726 4.1205 6.0542
O 1.8726 4.4166 2.4853
O 1.9222 2.3717 8.4048
O 1.9222 6.1653 0.1346
O 2.4328 0.1439 6.6808
O 2.4328 8.3932 1.8586
O 2.4707 1.8228 4.4309
O 2.4707 6.7142 4.1086
O 4.1243 2.5089 6.6832
O 4.1243 6.0282 1.8563
O 4.4066 2.5089 1.8563
O 4.4066 6.0282 6.6832
O 6.0602 1.8228 4.1086
O 6.0602 6.7142 4.4309
O 6.0980 0.1439 1.8586
O 6.0980 8.3932 6.6808
O 6.6087 2.3717 0.1346
O 6.6087 6.1653 8.4048
O 6.6583 4.1205 2.4853
O 6.6583 4.4166 6.0542
O 8.3790 1.8921 2.3362
O 8.3790 6.6449 6.2032
```

Copy entry 1 word for word.
# K2LiS2O4F2
Simulated PXRD pattern, Cu Kα X-rays. Input: the GGA-PBE geometry in the Materials Project.

The 12 most intense peaks (2θ = 10–90°), by angle:
- d 4.286, 20.7°, rel. 23
- d 3.546, 25.1°, rel. 92
- d 3.528, 25.2°, rel. 61
- d 3.472, 25.7°, rel. 34
- d 3.382, 26.4°, rel. 36
- d 3.119, 28.6°, rel. 30
- d 3.067, 29.1°, rel. 100
- d 3.019, 29.6°, rel. 41
- d 2.861, 31.3°, rel. 35
- d 2.554, 35.1°, rel. 16
- d 2.404, 37.4°, rel. 22
- d 2.074, 43.6°, rel. 23

Atomic structure:
```
11
Lattice="4.4633 0.0000 0.0000 -0.1676 6.1140 0.0000 -2.2303 -1.2512 7.8146" Properties=species:S:1:pos:R:3 pbc="T T T"
K 0.0000 0.0000 0.0000
K 0.4864 1.9636 5.5956
Li -0.7784 4.9122 5.3070
S 1.6689 5.4051 3.2645
S 2.6464 2.9584 1.8043
O -0.5969 2.1531 2.0047
O 0.3630 4.7877 3.6412
O 2.6683 3.8348 0.6128
O 2.4811 0.0377 4.3864
F -1.7276 3.4011 5.6881
F 0.0246 -0.3446 6.7884
```

Which formula does entry 2 have?
BaSrSmNbO6

Which formula does entry 2 have?
BaSrSmNbO6